Calculated X-ray powder pattern
Compound: TlGeS2
Radiation: a wavelength of 1.5418 Å
Structure: DFT lattice parameters and positions (PBE)
Peak positions follow from Bragg's law for the DFT cell and can differ from measured ones.

Peak list (6 most intense, 10 to 90 degrees two-theta, in order of rising 2θ)
2θ 20.37, 4.361 Å, I 83, hkl 1 1 2
2θ 24.10, 3.692 Å, I 43, hkl 2 1 1
2θ 24.55, 3.627 Å, I 54, hkl 0 0 4
2θ 26.41, 3.374 Å, I 100, hkl 0 2 0
2θ 29.56, 3.022 Å, I 67, hkl 3 0 1
2θ 33.45, 2.679 Å, I 35, hkl 2 2 1

Crystal structure
Unit cell a=9.263 b=6.743 c=14.531 alpha=90.00 beta=90.00 gamma=90.00
Space group Pnma (No. 62)
One atom of each set of equivalent atoms:
Tl: 0.017 0.250 0.123 (multiplicity 4)
Tl: 0.141 0.750 0.318 (multiplicity 4)
Ge: 0.084 0.750 0.543 (multiplicity 4)
Ge: 0.244 0.250 0.573 (multiplicity 4)
S: 0.022 0.750 0.087 (multiplicity 4)
S: 0.144 0.505 0.654 (multiplicity 8)
S: 0.171 0.250 0.426 (multiplicity 4)


Calculated X-ray powder pattern
Compound: Gd2Zr2O7
Radiation: a wavelength of 1.5418 Å
Structure: DFT lattice parameters and positions (PBE)
Peak positions follow from Bragg's law for the DFT cell and can differ from measured ones.

Peak list (6 most intense, 10 to 90 degrees two-theta, in order of rising 2θ)
2θ 28.97, 3.082 Å, I 100, hkl 2 2 2
2θ 33.57, 2.669 Å, I 31, hkl 4 0 0
2θ 48.21, 1.887 Å, I 49, hkl 4 4 0
2θ 57.23, 1.610 Å, I 43, hkl 6 2 2
2θ 78.02, 1.225 Å, I 17, hkl 6 6 2
2θ 80.45, 1.194 Å, I 13, hkl 8 4 0

Crystal structure
Unit cell a=10.677 b=10.677 c=10.677 alpha=90.00 beta=90.00 gamma=90.00
Space group Fd-3m (No. 227, origin choice 2)
One atom of each set of equivalent atoms:
Gd: 0.000 0.000 0.000 (multiplicity 16)
Zr: 0.000 0.000 0.500 (multiplicity 16)
O: 0.089 0.375 0.875 (multiplicity 48)
O: 0.125 0.125 0.125 (multiplicity 8)


Calculated X-ray powder pattern
Compound: Sr4Be3Ge5
Radiation: a wavelength of 1.5418 Å
Structure: DFT lattice parameters and positions (PBE)
Peak positions follow from Bragg's law for the DFT cell and can differ from measured ones.

Peak list (6 most intense, 10 to 90 degrees two-theta, in order of rising 2θ)
2θ 24.60, 3.619 Å, I 15, hkl 1 0 0
2θ 31.42, 2.847 Å, I 100, hkl 1 0 4
2θ 43.31, 2.089 Å, I 34, hkl 1 1 0
2θ 54.47, 1.684 Å, I 21, hkl 2 0 4
2θ 59.72, 1.548 Å, I 25, hkl 1 1 8
2θ 72.02, 1.311 Å, I 18, hkl 2 1 4

Crystal structure
Unit cell a=4.1785 b=4.1785 c=18.4516 alpha=90.00 beta=90.00 gamma=120.00
Space group P-6m2 (No. 187)
One atom of each set of equivalent atoms:
Sr: 0.0000 0.0000 0.1249 (multiplicity 2)
Sr: 0.0000 0.0000 0.3692 (multiplicity 2)
Be: 0.6667 0.3333 0.0000 (multiplicity 1)
Be: 0.6667 0.3333 0.2508 (multiplicity 2)
Ge: 0.3333 0.6667 0.0000 (multiplicity 1)
Ge: 0.3333 0.6667 0.2500 (multiplicity 2)
Ge: 0.3333 0.6667 0.5000 (multiplicity 1)
Ge: 0.6667 0.3333 0.5000 (multiplicity 1)


Calculated X-ray powder pattern
Compound: Rb3Mo2Cl8
Radiation: a wavelength of 1.5418 Å
Structure: DFT lattice parameters and positions (PBE)
Peak positions follow from Bragg's law for the DFT cell and can differ from measured ones.

Peak list (6 most intense, 10 to 90 degrees two-theta, in order of rising 2θ)
2θ 14.73, 6.015 Å, I 52, hkl 1 2 0
2θ 14.86, 5.961 Å, I 85, hkl 1 1 1
2θ 24.17, 3.683 Å, I 89, hkl 0 3 1
2θ 24.42, 3.645 Å, I 55, hkl 0 0 2
2θ 29.01, 3.078 Å, I 100, hkl 5 1 1
2θ 32.11, 2.787 Å, I 81, hkl 3 2 2

Crystal structure
Unit cell a=17.597 b=12.802 c=7.290 alpha=90.00 beta=90.00 gamma=90.00
Space group Ama2 (No. 40)
One atom of each set of equivalent atoms:
Rb: 0.065 0.167 0.000 (multiplicity 8)
Rb: 0.250 0.001 0.502 (multiplicity 4)
Mo: 0.174 0.338 0.515 (multiplicity 8)
Cl: 0.085 0.417 0.735 (multiplicity 8)
Cl: 0.107 0.175 0.494 (multiplicity 8)
Cl: 0.107 0.398 0.248 (multiplicity 8)
Cl: 0.250 0.004 0.017 (multiplicity 4)
Cl: 0.250 0.268 0.778 (multiplicity 4)


Calculated X-ray powder pattern
Compound: Ti20Co3B6
Radiation: a wavelength of 1.5418 Å
Structure: DFT lattice parameters and positions (PBE)
Peak positions follow from Bragg's law for the DFT cell and can differ from measured ones.

Peak list (6 most intense, 10 to 90 degrees two-theta, in order of rising 2θ)
2θ 33.98, 2.638 Å, I 20, hkl 4 2 0
2θ 37.34, 2.408 Å, I 37, hkl 4 2 2
2θ 39.70, 2.271 Å, I 100, hkl 3 3 3
2θ 43.39, 2.086 Å, I 26, hkl 4 4 0
2θ 45.48, 1.994 Å, I 21, hkl 5 3 1
2θ 67.35, 1.390 Å, I 22, hkl 6 6 0

Crystal structure
Unit cell a=11.798 b=11.798 c=11.798 alpha=90.00 beta=90.00 gamma=90.00
Space group Fm-3m (No. 225)
One atom of each set of equivalent atoms:
Ti: 0.000 0.167 0.167 (multiplicity 48)
Ti: 0.124 0.124 0.376 (multiplicity 32)
Co: 0.000 0.000 0.000 (multiplicity 4)
Co: 0.250 0.250 0.250 (multiplicity 8)
B: 0.000 0.000 0.280 (multiplicity 24)


Calculated X-ray powder pattern
Compound: Al3GaN4
Radiation: a wavelength of 1.5418 Å
Structure: DFT lattice parameters and positions (PBE)
Peak positions follow from Bragg's law for the DFT cell and can differ from measured ones.

Peak list (6 most intense, 10 to 90 degrees two-theta, in order of rising 2θ)
2θ 32.85, 2.726 Å, I 78, hkl 0 1 1
2θ 35.35, 2.539 Å, I 47, hkl 2 0 0
2θ 37.44, 2.402 Å, I 100, hkl 1 1 1
2θ 58.65, 1.574 Å, I 44, hkl 0 2 0
2θ 64.84, 1.438 Å, I 42, hkl 3 1 1
2θ 70.38, 1.338 Å, I 34, hkl 2 2 0

Crystal structure
Unit cell a=5.078 b=3.149 c=5.452 alpha=90.00 beta=90.03 gamma=90.00
Space group Pm (No. 6)
One atom of each set of equivalent atoms:
Al: 0.000 0.000 0.000 (multiplicity 1)
Al: 0.000 0.500 0.496 (multiplicity 1)
Al: 0.499 0.000 0.332 (multiplicity 1)
Ga: 0.499 0.500 0.831 (multiplicity 1)
N: 0.110 0.500 0.831 (multiplicity 1)
N: 0.122 0.000 0.332 (multiplicity 1)
N: 0.622 0.500 0.490 (multiplicity 1)
N: 0.625 0.000 0.006 (multiplicity 1)


Calculated X-ray powder pattern
Compound: Mg3Bi2
Radiation: a wavelength of 1.5418 Å
Structure: DFT lattice parameters and positions (PBE)
Peak positions follow from Bragg's law for the DFT cell and can differ from measured ones.

Peak list (6 most intense, 10 to 90 degrees two-theta, in order of rising 2θ)
2θ 21.73, 4.089 Å, I 29, hkl 1 0 0
2θ 24.84, 3.585 Å, I 100, hkl 1 0 1
2θ 32.52, 2.754 Å, I 40, hkl 1 0 2
2θ 38.11, 2.361 Å, I 40, hkl 1 1 0
2θ 42.60, 2.122 Å, I 30, hkl 0 1 3
2θ 45.49, 1.994 Å, I 27, hkl 1 1 2

Crystal structure
Unit cell a=4.7221 b=4.7221 c=7.4490 alpha=90.00 beta=90.00 gamma=120.00
Space group P-3m1 (No. 164)
One atom of each set of equivalent atoms:
Mg: 0.0000 0.0000 0.0000 (multiplicity 1)
Mg: 0.3333 0.6667 0.3709 (multiplicity 2)
Bi: 0.3333 0.6667 0.7793 (multiplicity 2)